1.
The following is a calculated XRD peak list of Fe4CoNi12. It was derived from a DFT-relaxed cell (PBE, Alexandria), using Cu Kα X-rays.
Peak positions follow from Bragg's law for the DFT cell and can differ from measured ones.

Structural model:
```
data_Fe4CoNi12
_cell_length_a 7.357
_cell_length_b 7.357
_cell_length_c 7.357
_cell_angle_alpha 90.00
_cell_angle_beta 90.00
_cell_angle_gamma 90.00
_symmetry_space_group_name_H-M 'I m -3 m'
_symmetry_Int_Tables_number 229
_symmetry_space_group_name_Hall '-I 4 2 3'
loop_
_atom_site_label
_atom_site_type_symbol
_atom_site_fract_x
_atom_site_fract_y
_atom_site_fract_z
_atom_site_occupancy
Fe1 Fe 0.250 0.250 0.250 1
Co1 Co 0.000 0.000 0.000 1
Ni1 Ni 0.000 0.000 0.297 1
Ni2 Ni 0.000 0.250 0.500 1
```

Most intense lines, 2θ from 5° to 70°, in order of rising 2θ:
2θ/deg	d (Å)	I (rel.)
24.20	3.678	5
34.48	2.601	2
38.71	2.326	8
42.57	2.124	100
46.17	1.966	13
49.57	1.839	59
52.80	1.734	8
58.88	1.568	11
64.60	1.443	2

---

2.
The following is a calculated XRD peak list of PmPaAu4. It was derived from a DFT-relaxed cell (PBE, Alexandria), using Cu Kα X-rays.
Peak positions follow from Bragg's law for the DFT cell and can differ from measured ones.

Structural model:
```
data_PmPaAu4
_cell_length_a 9.984
_cell_length_b 3.766
_cell_length_c 7.722
_cell_angle_alpha 90.00
_cell_angle_beta 112.16
_cell_angle_gamma 90.00
_symmetry_space_group_name_H-M 'C 1 2/m 1'
_symmetry_Int_Tables_number 12
loop_
_symmetry_equiv_pos_as_xyz
'x,y,z'
'-x,-y,-z'
'-x,y,-z'
'x,-y,z'
'x+1/2,y+1/2,z'
'-x+1/2,-y+1/2,-z'
'-x+1/2,y+1/2,-z'
'x+1/2,-y+1/2,z'
loop_
_atom_site_label
_atom_site_type_symbol
_atom_site_fract_x
_atom_site_fract_y
_atom_site_fract_z
_atom_site_occupancy
Pm1 Pm 0.000 0.000 0.000 1
Pa1 Pa 0.000 0.000 0.500 1
Au1 Au 0.166 0.500 0.339 1
Au2 Au 0.166 0.500 0.823 1
```

Most intense lines, 2θ from 5° to 70°, in order of rising 2θ:
2θ/deg	d (Å)	I (rel.)
33.23	2.696	100
37.14	2.421	37
37.53	2.397	36
37.72	2.385	72
47.07	1.930	19
48.34	1.883	18
61.56	1.506	17
62.10	1.495	17
62.49	1.486	17
62.76	1.481	16

---

3.
The following is a calculated XRD peak list of Tb2Pm4Dy2Y. It was derived from a DFT-relaxed cell (PBE, Alexandria), using Cu Kα X-rays.
Peak positions follow from Bragg's law for the DFT cell and can differ from measured ones.

Structural model:
```
data_Tb2Pm4Dy2Y
_cell_length_a 15.284
_cell_length_b 5.089
_cell_length_c 8.040
_cell_angle_alpha 90.00
_cell_angle_beta 108.51
_cell_angle_gamma 90.00
_symmetry_space_group_name_H-M 'C 1 2/m 1'
_symmetry_Int_Tables_number 12
loop_
_symmetry_equiv_pos_as_xyz
'x,y,z'
'-x,-y,-z'
'-x,y,-z'
'x,-y,z'
'x+1/2,y+1/2,z'
'-x+1/2,-y+1/2,-z'
'-x+1/2,y+1/2,-z'
'x+1/2,-y+1/2,z'
loop_
_atom_site_label
_atom_site_type_symbol
_atom_site_fract_x
_atom_site_fract_y
_atom_site_fract_z
_atom_site_occupancy
Tb1 Tb 0.111 0.000 0.168 1
Pm1 Pm 0.055 0.500 0.833 1
Pm2 Pm 0.223 0.000 0.832 1
Dy1 Dy 0.167 0.500 0.500 1
Y1 Y 0.000 0.000 0.500 1
```

Most intense lines, 2θ from 5° to 70°, in order of rising 2θ:
2θ/deg	d (Å)	I (rel.)
12.21	7.247	1
13.93	6.356	1
30.43	2.938	100
35.28	2.544	51
50.74	1.799	36
60.30	1.535	29
60.38	1.533	14
63.31	1.469	12